# 1
For MgHIr6, a cell relaxed with PBE gives the theoretical X-ray diffraction stick pattern in this record (Cu Kα).
Neutral-atom scattering factors, no anomalous dispersion.

Largest 10 diffraction maxima, by angle, 2θ = 10–90°:
19.12°, intensity 8.3, hkl 1 0 0
24.26°, intensity 7.7, hkl 1 0 -1
31.07°, intensity 3.0, hkl 1 1 -1
39.80°, intensity 100.0, hkl 1 1 1
46.29°, intensity 49.8, hkl 2 -1 1
47.14°, intensity 2.9, hkl 2 0 1
67.54°, intensity 32.2, hkl 3 1 0
81.35°, intensity 38.8, hkl 3 0 2
85.78°, intensity 5.6, hkl 2 2 2
85.83°, intensity 5.6, hkl 4 0 -2

Crystal structure
abc: 4.8038 4.8039 4.8040
angles: 99.56 99.56 99.56
Element x y z (fractional)
Mg: 0.0000 0.0000 0.0000
H: 0.4995 0.5016 0.5001
Ir: 0.1431 0.5827 0.2866
Ir: 0.2865 0.1433 0.5830
Ir: 0.4171 0.7134 0.8569
Ir: 0.5828 0.2865 0.1435
Ir: 0.7134 0.8567 0.4172
Ir: 0.8565 0.4170 0.7135

***

# 2
For Ca2Ni2Pd, a cell relaxed with PBE gives the theoretical X-ray diffraction stick pattern in this record (Cu Kα).
Neutral-atom scattering factors, no anomalous dispersion.

Largest 10 diffraction maxima, by angle, 2θ = 10–90°:
21.10°, intensity 55.6, hkl 0 0 1
28.32°, intensity 13.9, hkl 1 1 1
34.13°, intensity 79.2, hkl 2 0 1
36.73°, intensity 100.0, hkl 2 1 1
37.85°, intensity 21.9, hkl 2 2 0
42.52°, intensity 62.1, hkl 3 1 0
42.97°, intensity 37.4, hkl 0 0 2
47.94°, intensity 40.2, hkl 3 1 1
62.05°, intensity 38.3, hkl 3 1 2
75.57°, intensity 21.9, hkl 5 1 1

Crystal structure
abc: 6.7232 6.7232 4.2099
angles: 90.00 90.00 90.00
Element x y z (fractional)
Ca: 0.1823 0.3177 0.0000
Ca: 0.3177 0.8177 0.0000
Ca: 0.6823 0.1823 0.0000
Ca: 0.8177 0.6823 0.0000
Ni: 0.1222 0.6222 0.5000
Ni: 0.3778 0.1222 0.5000
Ni: 0.6222 0.8778 0.5000
Ni: 0.8778 0.3778 0.5000
Pd: 0.0000 0.0000 0.5000
Pd: 0.5000 0.5000 0.5000

***

# 3
For LiThTe2O8, a cell relaxed with PBE gives the theoretical X-ray diffraction stick pattern in this record (Cu Kα).
Neutral-atom scattering factors, no anomalous dispersion.

Largest 10 diffraction maxima, by angle, 2θ = 10–90°:
13.59°, intensity 51.5, hkl 0 0 1
21.92°, intensity 100.0, hkl 0 1 1
29.87°, intensity 67.5, hkl 1 1 0
32.47°, intensity 45.0, hkl 0 1 2
32.95°, intensity 42.4, hkl 1 1 1
44.70°, intensity 29.1, hkl 2 0 2
45.29°, intensity 25.5, hkl 1 0 3
48.54°, intensity 27.0, hkl 1 2 1
54.69°, intensity 25.6, hkl 1 2 2
64.03°, intensity 17.8, hkl 2 1 3

Crystal structure
abc: 5.9833 5.9833 6.5134
angles: 90.00 90.00 120.00
Element x y z (fractional)
Li: 0.0000 0.0000 0.0000
Th: 0.0000 0.0000 0.5000
Te: 0.3333 0.6667 0.7164
Te: 0.6667 0.3333 0.2836
O: 0.1521 0.3042 0.7707
O: 0.1521 0.8479 0.7707
O: 0.3042 0.1521 0.2293
O: 0.3333 0.6667 0.4350
O: 0.6667 0.3333 0.5650
O: 0.6958 0.8479 0.7707
O: 0.8479 0.1521 0.2293
O: 0.8479 0.6958 0.2293

***

What did the second record say?
For Ca2Ni2Pd, a cell relaxed with PBE gives the theoretical X-ray diffraction stick pattern in this record (Cu Kα).
Neutral-atom scattering factors, no anomalous dispersion.

Largest 10 diffraction maxima, by angle, 2θ = 10–90°:
21.10°, intensity 55.6, hkl 0 0 1
28.32°, intensity 13.9, hkl 1 1 1
34.13°, intensity 79.2, hkl 2 0 1
36.73°, intensity 100.0, hkl 2 1 1
37.85°, intensity 21.9, hkl 2 2 0
42.52°, intensity 62.1, hkl 3 1 0
42.97°, intensity 37.4, hkl 0 0 2
47.94°, intensity 40.2, hkl 3 1 1
62.05°, intensity 38.3, hkl 3 1 2
75.57°, intensity 21.9, hkl 5 1 1

Crystal structure
abc: 6.7232 6.7232 4.2099
angles: 90.00 90.00 90.00
Element x y z (fractional)
Ca: 0.1823 0.3177 0.0000
Ca: 0.3177 0.8177 0.0000
Ca: 0.6823 0.1823 0.0000
Ca: 0.8177 0.6823 0.0000
Ni: 0.1222 0.6222 0.5000
Ni: 0.3778 0.1222 0.5000
Ni: 0.6222 0.8778 0.5000
Ni: 0.8778 0.3778 0.5000
Pd: 0.0000 0.0000 0.5000
Pd: 0.5000 0.5000 0.5000